Starting from a GGA-PBE-relaxed structure, the powder X-ray diffraction pattern of Sm4MgRh was computed for CuKα.
Kinematic intensities with the Lorentz-polarization factor, no thermal factor.

Atomic structure:
Cell lengths 14.000, 14.000, 14.000 Å; angles 90.00, 90.00, 90.00 degrees
Space group F-43m (No. 216)
Unique sites:
Sm 0.000 0.000 0.186 x24
Sm 0.062 0.250 0.750 x24
Sm 0.097 0.097 0.403 x16
Mg 0.171 0.171 0.171 x16
Rh 0.108 0.108 0.608 x16

Principal peaks in the range 15° ≤ 2θ ≤ 90°, by intensity:
two_theta	Rel. int.	hkl
33.25	100.0	5 1 1
31.30	54.4	4 2 2
55.71	51.4	6 6 0
27.78	42.9	3 3 1
36.30	32.9	4 4 0
83.77	16.0	11 5 1
85.52	15.9	10 6 4
56.96	14.8	5 5 5
53.58	13.9	7 3 3
69.45	12.2	9 5 1
66.45	11.8	9 3 3
46.31	10.6	5 5 1



Starting from a GGA-PBE-relaxed structure, the powder X-ray diffraction pattern of ThMgRh2 was computed for CuKα.
Kinematic intensities with the Lorentz-polarization factor, no thermal factor.

Atomic structure:
Cell lengths 6.784, 6.784, 6.784 Å; angles 90.00, 90.00, 90.00 degrees
Space group Fm-3m (No. 225)
Unique sites:
Th 0.000 0.000 0.000 x4
Mg 0.000 0.000 0.500 x4
Rh 0.250 0.250 0.250 x8

Principal peaks in the range 15° ≤ 2θ ≤ 90°, by intensity:
two_theta	Rel. int.	hkl
37.50	100.0	2 2 0
22.70	43.1	1 1 1
67.66	35.4	4 2 2
44.28	23.5	3 1 1
54.07	17.4	4 0 0
80.00	11.1	4 4 0
59.38	10.1	3 3 1
84.49	7.9	5 3 1
72.38	7.7	5 1 1
26.27	0.7	2 0 0



Starting from a GGA-PBE-relaxed structure, the powder X-ray diffraction pattern of Tm4MgRh was computed for CuKα.
Kinematic intensities with the Lorentz-polarization factor, no thermal factor.

Atomic structure:
Cell lengths 13.552, 13.552, 13.552 Å; angles 90.00, 90.00, 90.00 degrees
Space group F-43m (No. 216)
Unique sites:
Tm 0.000 0.000 0.186 x24
Tm 0.063 0.250 0.750 x24
Tm 0.097 0.097 0.403 x16
Mg 0.170 0.170 0.170 x16
Rh 0.108 0.108 0.608 x16

Principal peaks in the range 15° ≤ 2θ ≤ 90°, by intensity:
two_theta	Rel. int.	hkl
34.39	100.0	5 1 1
32.36	56.8	4 2 2
57.72	52.6	6 6 0
28.71	47.0	3 3 1
37.54	31.9	4 4 0
87.22	16.7	11 5 1
89.07	16.5	10 6 4
55.50	15.2	7 3 3
59.03	14.8	5 5 5
68.95	11.9	9 3 3
72.09	11.8	9 5 1
47.94	10.7	5 5 1



Starting from a GGA-PBE-relaxed structure, the powder X-ray diffraction pattern of TmMgRh2 was computed for CuKα.
Kinematic intensities with the Lorentz-polarization factor, no thermal factor.

Atomic structure:
Cell lengths 6.520, 6.520, 6.520 Å; angles 90.00, 90.00, 90.00 degrees
Space group Fm-3m (No. 225)
Unique sites:
Tm 0.000 0.000 0.000 x4
Mg 0.000 0.000 0.500 x4
Rh 0.250 0.250 0.250 x8

Principal peaks in the range 15° ≤ 2θ ≤ 90°, by intensity:
two_theta	Rel. int.	hkl
39.07	100.0	2 2 0
70.79	34.0	4 2 2
23.63	30.0	1 1 1
56.45	16.9	4 0 0
46.17	15.5	3 1 1
83.95	10.8	4 4 0
62.04	6.5	3 3 1
88.77	5.2	5 3 1
75.81	4.9	5 1 1



Starting from a GGA-PBE-relaxed structure, the powder X-ray diffraction pattern of MgZnRh2 was computed for CuKα.
Kinematic intensities with the Lorentz-polarization factor, no thermal factor.

Atomic structure:
Cell lengths 6.147, 6.147, 6.147 Å; angles 90.00, 90.00, 90.00 degrees
Space group Fm-3m (No. 225)
Unique sites:
Mg 0.000 0.000 0.000 x4
Zn 0.000 0.000 0.500 x4
Rh 0.250 0.250 0.250 x8

Principal peaks in the range 15° ≤ 2θ ≤ 90°, by intensity:
two_theta	Rel. int.	hkl
41.55	100.0	2 2 0
75.81	32.0	4 2 2
29.05	18.3	2 0 0
60.22	16.2	4 0 0
68.23	6.4	4 2 0
25.09	5.6	1 1 1
51.50	4.9	2 2 2
49.16	2.7	3 1 1
66.27	1.0	3 3 1
81.33	0.7	5 1 1



Starting from a GGA-PBE-relaxed structure, the powder X-ray diffraction pattern of MgZrRh2 was computed for CuKα.
Kinematic intensities with the Lorentz-polarization factor, no thermal factor.

Atomic structure:
Cell lengths 6.431, 6.431, 6.431 Å; angles 90.00, 90.00, 90.00 degrees
Space group Fm-3m (No. 225)
Unique sites:
Mg 0.000 0.000 0.000 x4
Zr 0.000 0.000 0.500 x4
Rh 0.250 0.250 0.250 x8

Principal peaks in the range 15° ≤ 2θ ≤ 90°, by intensity:
two_theta	Rel. int.	hkl
39.64	100.0	2 2 0
71.92	32.9	4 2 2
57.30	16.6	4 0 0
23.97	10.7	1 1 1
85.39	10.4	4 4 0
27.74	10.3	2 0 0
46.85	5.1	3 1 1
64.84	3.7	4 2 0
49.07	2.8	2 2 2
63.00	2.1	3 3 1
77.05	1.5	5 1 1



Starting from a GGA-PBE-relaxed structure, the powder X-ray diffraction pattern of Mg3Ru2 was computed for CuKα.
Kinematic intensities with the Lorentz-polarization factor, no thermal factor.

Atomic structure:
Cell lengths 6.965, 6.965, 6.965 Å; angles 90.00, 90.00, 90.00 degrees
Space group P4_132 (No. 213)
Unique sites:
Mg 0.044 0.125 0.794 x12
Ru 0.074 0.926 0.426 x8

Principal peaks in the range 15° ≤ 2θ ≤ 90°, by intensity:
two_theta	Rel. int.	hkl
38.79	100.0	2 2 1
18.01	93.8	1 1 0
40.98	65.3	3 1 0
48.93	41.4	3 2 1
22.11	39.5	1 1 1
68.72	32.3	4 3 1
73.18	31.5	5 2 0
54.31	29.2	4 1 0
31.46	24.5	2 1 1
47.04	19.6	3 2 0
43.08	19.5	3 1 1
83.23	17.0	4 4 2



Starting from a GGA-PBE-relaxed structure, the powder X-ray diffraction pattern of MgSbRu2 was computed for CuKα.
Kinematic intensities with the Lorentz-polarization factor, no thermal factor.

Atomic structure:
Cell lengths 6.308, 6.308, 6.308 Å; angles 90.00, 90.00, 90.00 degrees
Space group Fm-3m (No. 225)
Unique sites:
Mg 0.000 0.000 0.000 x4
Sb 0.000 0.000 0.500 x4
Ru 0.250 0.250 0.250 x8

Principal peaks in the range 15° ≤ 2θ ≤ 90°, by intensity:
two_theta	Rel. int.	hkl
40.45	100.0	2 2 0
73.56	32.9	4 2 2
24.44	18.3	1 1 1
58.53	16.5	4 0 0
87.47	10.6	4 4 0
47.83	9.0	3 1 1
28.30	3.9	2 0 0
64.38	3.6	3 3 1
78.85	2.8	5 1 1
66.26	1.3	4 2 0
50.09	1.0	2 2 2



Starting from a GGA-PBE-relaxed structure, the powder X-ray diffraction pattern of MgSc3Ru2 was computed for CuKα.
Kinematic intensities with the Lorentz-polarization factor, no thermal factor.

Atomic structure:
Cell lengths 3.266, 3.266, 10.753 Å; angles 90.00, 90.00, 90.00 degrees
Space group P4/mmm (No. 123)
Unique sites:
Mg 0.000 0.000 0.000 x1
Sc 0.500 0.500 0.213 x2
Sc 0.500 0.500 0.500 x1
Ru 0.000 0.000 0.347 x2

Principal peaks in the range 15° ≤ 2θ ≤ 90°, by intensity:
two_theta	Rel. int.	hkl
37.25	100.0	1 0 3
39.00	54.9	1 1 0
43.61	31.2	1 0 4
69.50	29.3	2 1 3
56.34	17.8	2 0 0
16.49	12.2	0 0 2
73.84	12.1	2 1 4
39.93	10.5	1 1 1
24.84	10.3	0 0 3
27.31	10.0	1 0 0
74.13	9.7	1 1 7
65.98	9.0	1 1 6